This entry pairs a crystal structure of Ba3CoRu2O9 with its calculated PXRD pattern. Radiation: Cu Kα, 1.54184 Å. Structure: a GGA+U-relaxed structure.
Neutral-atom scattering factors, no anomalous dispersion.

Largest 12 diffraction maxima, most intense first, 15 to 90 degrees two-theta:
30.72 deg, intensity 100
54.62 deg, intensity 29
43.99 deg, intensity 22
63.99 deg, intensity 15
48.15 deg, intensity 13
25.75 deg, intensity 13
89.01 deg, intensity 12
36.15 deg, intensity 11
40.51 deg, intensity 11
58.21 deg, intensity 10
72.64 deg, intensity 8
37.84 deg, intensity 8

Atomic structure:
Cell lengths 5.8186, 5.8186, 14.2793 Å; angles 90.00, 90.00, 120.00 degrees
Space group P6_3/mmc (No. 194)
Symmetry-distinct sites (fractional):
Ba 0.0000 0.0000 0.2500
Ba 0.3333 0.6667 0.0900
Co 0.0000 0.0000 0.0000
Ru 0.3333 0.6667 0.6528
O 0.0318 0.5159 0.7500
O 0.1691 0.3382 0.5813